Starting from DFT lattice parameters and positions (PBE+U), the powder X-ray diffraction pattern of BeCoSeO was simulated for Cu Ka.

Most intense lines, 2θ from 10° to 90°, by angle:
index	2θ (°)	intensity
0 2 0	10.9	100
0 6 0	33.2	58
0 0 2	34.5	18
2 0 0	38.1	42
1 0 2	39.5	46
2 2 0	39.7	13
2 6 0	51.4	28
1 6 2	52.6	33

Structure:
```
data_BeCoSeO
_cell_length_a 4.7266
_cell_length_b 16.1843
_cell_length_c 5.2054
_cell_angle_alpha 90.00
_cell_angle_beta 90.00
_cell_angle_gamma 90.00
_symmetry_space_group_name_H-M 'P b c a'
_symmetry_Int_Tables_number 61
loop_
_symmetry_equiv_pos_as_xyz
'x,y,z'
'-x,-y,-z'
'-x+1/2,-y,z+1/2'
'x+1/2,y,-z+1/2'
'x+1/2,-y+1/2,-z'
'-x+1/2,y+1/2,z'
'-x,y+1/2,-z+1/2'
'x,-y+1/2,z+1/2'
loop_
_atom_site_label
_atom_site_fract_x
_atom_site_fract_y
_atom_site_fract_z
_atom_site_occupancy
Be1 0.0900 0.2370 0.1220 1
Co1 0.2493 0.0853 0.4166 1
Se1 0.2495 0.0719 0.9383 1
O1 0.2436 0.7297 0.3824 1
```